[1]
Sr3SnN: simulated X-ray diffraction stick pattern (CuKα), based on a cell relaxed with PBE.
Peak positions follow from Bragg's law for the DFT cell and can differ from measured ones.

Cell: 9.323 6.794 11.062 Å, 90.00 119.20 90.00°
Space group P2_1/c (No. 14)
Unique sites:
Sr: 0.083 0.047 0.388
Sr: 0.197 0.561 0.550
Sr: 0.351 0.148 0.774
Sn: 0.437 0.675 0.900
N: 0.067 0.239 0.579

Top 8 peaks for 2θ = 10–90°, in order of falling intensity:
h k l  d [Å]  I_rel
3 0 -2  3.095  100
1 1 -3  3.227  46
2 1 1  2.915  45
1 2 -1  3.161  25
2 1 -4  2.545  25
1 2 0  3.135  23
2 2 -1  2.743  21
6 0 -4  1.549  18

[2]
Y2TcSnN: simulated X-ray diffraction stick pattern (CuKα), based on a cell relaxed with PBE.
Peak positions follow from Bragg's law for the DFT cell and can differ from measured ones.

Cell: 4.954 4.954 3.985 Å, 90.00 90.00 90.00°
Space group P4/mmm (No. 123)
Unique sites:
Y: 0.000 0.500 0.000
Tc: 0.000 0.000 0.500
Sn: 0.500 0.500 0.500
N: 0.000 0.000 0.000

Top 8 peaks for 2θ = 10–90°, in order of falling intensity:
h k l  d [Å]  I_rel
1 1 1  2.631  100
2 0 0  2.477  48
3 1 1  1.458  32
2 0 2  1.553  22
2 2 0  1.752  17
2 2 2  1.316  13
0 0 2  1.993  13
1 1 3  1.242  10

[3]
Sn2TeN2: simulated X-ray diffraction stick pattern (CuKα), based on a cell relaxed with PBE.
Peak positions follow from Bragg's law for the DFT cell and can differ from measured ones.

Cell: 9.014 9.014 3.112 Å, 90.00 90.00 90.00°
Space group P4/mbm (No. 127)
Unique sites:
Sn: 0.210 0.290 0.000
Te: 0.000 0.000 0.000
N: 0.046 0.454 0.500

Top 8 peaks for 2θ = 10–90°, in order of falling intensity:
h k l  d [Å]  I_rel
2 2 0  3.187  100
2 2 1  2.227  59
0 0 1  3.112  49
2 1 0  4.031  46
3 1 1  2.102  38
1 1 0  6.374  31
4 1 1  1.789  30
3 1 0  2.850  30